The following is a simulated powder diffractogram of MgMn6O10F2. It was derived from a structure optimized by DFT (PBE+U), using CuKα.

Largest 6 diffraction maxima, most intense first, 2θ from 10° to 90°:
2θ 28.35, I 100.0, hkl -1 1 1
2θ 24.01, I 97.4, hkl 1 1 1
2θ 34.57, I 38.3, hkl 1 1 -2
2θ 35.05, I 37.5, hkl 1 -1 2
2θ 35.49, I 28.3, hkl 0 2 -1
2θ 37.75, I 23.1, hkl 2 1 1

Crystal structure
```
19
Lattice="5.124 0.000 0.000 0.813 5.519 0.000 0.646 0.501 7.456" Properties=species:S:1:pos:R:3 pbc="T T T"
Mg 0.000 0.000 0.000
Mn 3.034 3.189 3.800
Mn 3.199 1.601 6.342
Mn 3.415 5.009 1.476
Mn 5.472 3.652 5.860
Mn 5.452 2.249 1.506
Mn 5.440 0.588 3.811
O 1.315 2.114 3.105
O 2.259 3.169 5.588
O 1.640 0.968 0.627
O 2.480 4.952 3.165
O 4.071 3.347 2.156
O 4.769 5.369 7.075
O 4.285 1.972 4.742
O 5.148 4.747 4.428
O 5.108 2.467 7.293
O 4.543 0.688 2.123
F 1.357 3.777 0.761
F 1.332 0.521 5.584
```

The following is a simulated powder diffractogram of MgMn6O10F2. It was derived from a structure optimized by DFT (PBE+U), using CuKα.

Largest 6 diffraction maxima, most intense first, 2θ from 10° to 90°:
2θ 23.89, I 100.0, hkl -1 1 1
2θ 26.91, I 75.7, hkl 1 1 -1
2θ 35.69, I 34.4, hkl 0 1 -3
2θ 50.44, I 26.7, hkl 3 -2 0
2θ 35.20, I 22.9, hkl 1 -2 2
2θ 35.40, I 20.9, hkl 1 0 2

Crystal structure
```
19
Lattice="5.699 0.000 0.000 -2.037 5.530 0.000 -1.160 -3.070 6.917" Properties=species:S:1:pos:R:3 pbc="T T T"
Mg 0.000 0.000 0.000
Mn -1.978 -0.409 6.832
Mn 0.235 1.974 2.595
Mn 1.180 -2.303 5.746
Mn 3.347 -0.453 1.215
Mn 2.129 0.543 4.219
Mn 5.064 -1.503 3.565
O -0.637 -1.542 5.626
O -1.009 3.066 3.863
O 0.374 0.277 3.530
O 0.404 3.365 1.199
O 1.871 0.562 0.719
O 0.574 2.076 6.244
O 2.151 -0.727 5.733
O 1.951 2.285 3.444
O 3.460 -0.471 3.119
O 4.662 1.238 1.227
F -2.117 1.289 5.701
F 3.181 4.090 1.306
```

The following is a simulated powder diffractogram of MgMn6O10F2. It was derived from a structure optimized by DFT (PBE+U), using CuKα.

Largest 6 diffraction maxima, most intense first, 2θ from 10° to 90°:
2θ 23.04, I 100.0, hkl -1 1 1
2θ 28.21, I 72.8, hkl 1 1 -1
2θ 36.12, I 51.0, hkl 0 1 -3
2θ 35.74, I 40.0, hkl 2 -1 1
2θ 49.38, I 21.2, hkl 3 -2 0
2θ 49.95, I 19.4, hkl 1 0 -4

Crystal structure
```
19
Lattice="5.747 0.000 0.000 -2.379 5.359 0.000 -1.211 -2.810 6.956" Properties=species:S:1:pos:R:3 pbc="T T T"
Mg 0.000 0.000 0.000
Mn -1.166 2.746 0.011
Mn -2.732 3.810 3.286
Mn 0.341 1.855 2.427
Mn -1.129 2.893 5.627
Mn 3.340 -0.174 1.562
Mn 2.038 0.695 4.622
O -0.493 0.034 2.066
O -1.321 2.691 1.925
O -0.434 4.587 0.211
O 1.158 -1.009 4.396
O 2.055 0.934 2.746
O 1.234 3.572 2.574
O 2.675 -1.922 6.870
O 1.739 0.663 6.538
O 3.636 -0.056 5.076
O 2.833 2.534 4.863
F 0.620 1.857 0.211
F 0.218 1.653 4.542
```

The following is a simulated powder diffractogram of MgMn6O10F2. It was derived from a structure optimized by DFT (PBE+U), using CuKα.

Largest 6 diffraction maxima, most intense first, 2θ from 10° to 90°:
2θ 26.05, I 100.0, hkl 2 0 -1
2θ 25.11, I 88.1, hkl 0 0 3
2θ 35.56, I 46.0, hkl 1 1 -2
2θ 35.35, I 44.1, hkl 1 1 1
2θ 51.52, I 36.4, hkl 1 1 -5
2θ 52.55, I 36.0, hkl 3 1 -3

Crystal structure
```
19
Lattice="6.842 0.000 0.000 0.000 2.952 0.000 -3.185 0.000 10.640" Properties=species:S:1:pos:R:3 pbc="T T T"
Mg 0.000 0.000 0.000
Mn -1.419 0.000 8.548
Mn 1.868 1.476 2.000
Mn 1.933 0.000 5.167
Mn 1.831 1.476 8.342
Mn 5.056 0.000 2.132
Mn 5.131 1.476 5.322
O -2.732 1.476 9.143
O -1.718 0.000 6.569
O 1.829 0.000 0.741
O -0.203 1.476 8.503
O 1.616 0.000 3.246
O 2.002 0.000 7.140
O 3.832 1.476 2.085
O 3.153 1.476 5.113
O 5.319 0.000 4.083
O 6.310 1.476 1.457
F 0.521 1.476 5.340
F 1.843 0.000 9.838
```

The following is a simulated powder diffractogram of MgMn8O8F8. It was derived from a structure optimized by DFT (PBE+U), using CuKα.

Largest 6 diffraction maxima, most intense first, 2θ from 10° to 90°:
2θ 25.55, I 100.0, hkl 1 1 0
2θ 26.02, I 91.7, hkl 1 -1 0
2θ 33.84, I 63.8, hkl 1 0 4
2θ 50.75, I 37.3, hkl 1 -2 4
2θ 33.95, I 32.4, hkl 0 1 -4
2θ 34.56, I 24.0, hkl 1 0 -4

Crystal structure
```
25
Lattice="4.826 0.000 0.000 0.088 4.951 0.000 0.298 0.027 12.502" Properties=species:S:1:pos:R:3 pbc="T T T"
Mg 0.000 0.000 0.000
Mn 0.389 2.158 9.265
Mn 2.543 4.652 7.747
Mn 2.417 4.603 1.702
Mn 2.814 0.033 10.757
Mn 2.783 0.062 4.736
Mn 4.885 2.540 12.462
Mn 4.930 2.529 6.210
Mn 4.859 2.596 3.160
O 0.660 3.519 1.404
O 1.079 3.263 7.771
O 1.815 0.803 9.270
O 3.541 3.968 12.380
O 3.509 3.900 6.259
O 3.490 3.983 3.259
O 4.138 1.615 4.661
O 4.388 1.330 11.003
F 1.172 3.749 11.060
F 1.158 3.640 4.665
F 1.538 1.144 3.036
F 1.511 1.160 0.036
F 1.667 1.028 6.125
F 3.668 3.596 9.366
F 4.040 1.174 7.743
F 3.979 1.177 1.430
```

The following is a simulated powder diffractogram of MgMn6O10F2. It was derived from a structure optimized by DFT (PBE+U), using CuKα.

Largest 6 diffraction maxima, most intense first, 2θ from 10° to 90°:
2θ 23.93, I 100.0, hkl 1 0 -3
2θ 27.06, I 77.3, hkl 1 0 3
2θ 35.90, I 45.3, hkl 0 1 3
2θ 35.49, I 35.2, hkl 1 1 0
2θ 49.73, I 31.8, hkl 2 1 -3
2θ 53.17, I 30.6, hkl 2 1 3

Crystal structure
```
19
Lattice="5.077 0.000 0.000 0.000 2.924 0.000 -1.753 0.000 14.493" Properties=species:S:1:pos:R:3 pbc="T T T"
Mg 0.000 0.000 0.000
Mn -0.876 1.462 7.247
Mn -1.370 1.462 11.677
Mn 1.791 0.000 5.126
Mn 2.539 0.000 0.000
Mn 1.534 0.000 9.367
Mn 4.694 1.462 2.817
O -0.676 0.000 12.773
O -0.053 0.000 8.222
O 0.556 0.000 3.647
O 1.366 1.462 0.636
O 0.914 1.462 5.950
O 2.411 1.462 8.543
O 1.959 1.462 13.857
O 2.769 0.000 10.847
O 3.377 0.000 6.272
O 4.001 0.000 1.720
F 0.510 1.462 10.388
F 2.815 1.462 4.105
```

The following is a simulated powder diffractogram of MgMn6O6F6. It was derived from a structure optimized by DFT (PBE+U), using CuKα.

Largest 6 diffraction maxima, most intense first, 2θ from 10° to 90°:
2θ 25.72, I 100.0, hkl 0 1 -3
2θ 23.83, I 76.5, hkl 0 1 3
2θ 28.58, I 47.7, hkl 0 1 4
2θ 33.89, I 47.2, hkl 1 -1 0
2θ 60.56, I 35.7, hkl 2 0 0
2θ 34.84, I 34.2, hkl 1 0 -3

Crystal structure
```
19
Lattice="3.058 0.000 0.000 0.028 5.321 0.000 0.213 1.103 14.632" Properties=species:S:1:pos:R:3 pbc="T T T"
Mg 0.000 0.000 0.000
Mn 1.378 1.923 4.958
Mn 1.451 2.088 9.494
Mn 1.510 2.773 0.049
Mn 2.951 4.278 7.154
Mn 3.034 5.027 11.616
Mn 2.964 4.889 2.790
O 1.389 3.458 6.232
O 1.403 0.337 3.709
O 1.468 4.465 1.401
O 2.981 1.282 10.454
O 2.978 2.925 8.603
O 3.255 4.706 13.635
F 1.460 5.307 8.058
F 1.507 3.823 11.015
F 1.746 1.895 13.668
F 2.913 0.906 5.961
F 2.910 2.908 3.847
F 3.041 1.668 1.079
```

The following is a simulated powder diffractogram of MgMn6O6F6. It was derived from a structure optimized by DFT (PBE+U), using CuKα.

Largest 6 diffraction maxima, most intense first, 2θ from 10° to 90°:
2θ 27.14, I 100.0, hkl 1 0 3
2θ 33.32, I 97.1, hkl 1 1 -1
2θ 22.61, I 93.6, hkl 1 0 2
2θ 33.99, I 91.8, hkl 0 1 3
2θ 27.80, I 81.2, hkl 1 0 -4
2θ 52.99, I 77.4, hkl 1 1 6

Crystal structure
```
19
Lattice="5.246 0.000 0.000 0.000 3.150 0.000 -2.275 0.000 14.469" Properties=species:S:1:pos:R:3 pbc="T T T"
Mg 0.000 0.000 0.000
Mn -1.138 0.039 7.234
Mn -0.459 0.031 11.423
Mn 1.106 1.611 5.027
Mn 2.623 1.577 0.000
Mn 1.865 1.611 9.441
Mn 3.430 0.031 3.045
O -0.361 1.614 6.255
O -0.480 0.003 13.464
O 0.447 1.607 10.770
O 2.524 1.607 3.699
O 3.450 0.003 1.004
O 3.331 1.614 8.214
F 0.119 0.037 3.915
F 0.728 1.576 1.067
F 0.894 0.036 8.546
F 2.076 0.036 5.923
F 2.242 1.576 13.402
F 2.851 0.037 10.554
```